Ti6FeO16: simulated powder X-ray diffraction pattern (Cu Kα (weighted mean of Kα1 and Kα2)), based on a cell relaxed with PBE+U.
Lines closer than 0.1° are merged.

Top 8 peaks for 2θ from 15° to 90°, by intensity:
2θ/deg, I/Imax, index
22.4, 100, 1 -1 0
31.6, 74, 1 2 1
22.3, 60, 1 0 1
33.7, 48, 1 1 -2
40.8, 37, 1 1 3
53.4, 35, 2 1 3
53.6, 33, -2 1 3
53.9, 32, -2 3 1

Cell and atoms:
Lattice parameters (Å, degrees): 4.688 7.558 7.683 82.45 89.81 89.95
Space group P1 (No. 1)
Symmetry-distinct sites (fractional):
1 Ti 0.000 0.000 0.000 x1
2 Ti 0.000 0.133 0.614 x1
3 Ti 0.011 0.316 0.232 x1
4 Ti 0.021 0.454 0.842 x1
5 Ti 0.491 0.962 0.356 x1
6 Ti 0.515 0.667 0.080 x1
7 Fe 0.501 0.514 0.487 x1
8 O 0.195 0.216 0.820 x1
9 O 0.234 0.473 0.070 x1
10 O 0.242 0.336 0.442 x1
11 O 0.243 0.086 0.197 x1
12 O 0.265 0.831 0.969 x1
13 O 0.271 0.562 0.676 x1
14 O 0.280 0.980 0.554 x1
15 O 0.333 0.705 0.328 x1
16 O 0.702 0.728 0.492 x1
17 O 0.725 0.486 0.277 x1
18 O 0.737 0.876 0.152 x1
19 O 0.750 0.613 0.907 x1
20 O 0.780 0.378 0.640 x1
21 O 0.782 0.127 0.396 x1
22 O 0.804 0.997 0.783 x1
23 O 0.839 0.253 0.018 x1

=====

Ti2Fe4O9: simulated powder X-ray diffraction pattern (Cu Kα (weighted mean of Kα1 and Kα2)), based on a cell relaxed with PBE+U.
Lines closer than 0.1° are merged.

Top 8 peaks for 2θ from 15° to 90°, by intensity:
2θ/deg, I/Imax, index
32.7, 100, 1 1 2
34.9, 79, 2 0 -1
32.3, 55, -1 1 3
35.1, 37, 1 1 -4
62.9, 35, 3 1 -5
52.8, 31, 1 -3 1
53.5, 28, 2 2 1
61.1, 27, 2 0 -7

Cell and atoms:
Lattice parameters (Å, degrees): 5.145 5.516 11.665 97.41 102.65 91.14
Space group P-1 (No. 2)
Symmetry-distinct sites (fractional):
1 Ti 0.048 0.334 0.097 x2
2 Ti 0.280 0.990 0.573 x2
3 Fe 0.122 0.817 0.236 x2
4 Fe 0.221 0.511 0.432 x2
5 Fe 0.382 0.668 0.764 x2
6 Fe 0.450 0.158 0.904 x2
7 O 0.023 0.514 0.738 x2
8 O 0.061 0.230 0.502 x2
9 O 0.101 0.317 0.941 x2
10 O 0.210 0.027 0.726 x2
11 O 0.262 0.092 0.167 x2
12 O 0.301 0.809 0.930 x2
13 O 0.366 0.859 0.398 x2
14 O 0.379 0.577 0.167 x2
15 O 0.440 0.664 0.604 x2

=====

Ti2FeO5: simulated powder X-ray diffraction pattern (Cu Kα (weighted mean of Kα1 and Kα2)), based on a cell relaxed with PBE+U.
Lines closer than 0.1° are merged.

Top 8 peaks for 2θ from 15° to 90°, by intensity:
2θ/deg, I/Imax, index
25.3, 100, 1 1 0
31.8, 72, 0 2 3
17.9, 40, 0 2 0
59.2, 36, 2 2 3
48.4, 34, 2 0 0
36.2, 31, 1 3 0
36.7, 30, 1 1 3
55.3, 28, 1 5 2

Cell and atoms:
Lattice parameters (Å, degrees): 3.758 9.923 10.240 90.00 90.00 90.00
Space group Cmcm (No. 63)
Symmetry-distinct sites (fractional):
1 Ti 0.000 0.133 0.067 x8
2 Fe 0.000 0.193 0.750 x4
3 O 0.000 0.045 0.612 x8
4 O 0.000 0.205 0.250 x4
5 O 0.000 0.314 0.559 x8

=====

What did the second record say?
Ti2Fe4O9: simulated powder X-ray diffraction pattern (Cu Kα (weighted mean of Kα1 and Kα2)), based on a cell relaxed with PBE+U.
Lines closer than 0.1° are merged.

Top 8 peaks for 2θ from 15° to 90°, by intensity:
2θ/deg, I/Imax, index
32.7, 100, 1 1 2
34.9, 79, 2 0 -1
32.3, 55, -1 1 3
35.1, 37, 1 1 -4
62.9, 35, 3 1 -5
52.8, 31, 1 -3 1
53.5, 28, 2 2 1
61.1, 27, 2 0 -7

Cell and atoms:
Lattice parameters (Å, degrees): 5.145 5.516 11.665 97.41 102.65 91.14
Space group P-1 (No. 2)
Symmetry-distinct sites (fractional):
1 Ti 0.048 0.334 0.097 x2
2 Ti 0.280 0.990 0.573 x2
3 Fe 0.122 0.817 0.236 x2
4 Fe 0.221 0.511 0.432 x2
5 Fe 0.382 0.668 0.764 x2
6 Fe 0.450 0.158 0.904 x2
7 O 0.023 0.514 0.738 x2
8 O 0.061 0.230 0.502 x2
9 O 0.101 0.317 0.941 x2
10 O 0.210 0.027 0.726 x2
11 O 0.262 0.092 0.167 x2
12 O 0.301 0.809 0.930 x2
13 O 0.366 0.859 0.398 x2
14 O 0.379 0.577 0.167 x2
15 O 0.440 0.664 0.604 x2